[1]
CsPrNiS3: computed powder diffraction line list (Cu Kα), based on a crystal structure in OQMD, relaxed with GGA-PBE.
Intensities are scaled so that the largest is 100.

Top 10 peaks for 10 to 80 degrees two-theta, sorted by position:
2θ/deg	intensity	hkl
11.49	60	0 2 0
19.89	91	0 2 2
23.09	64	0 4 0
27.81	89	1 3 0
29.03	100	1 3 1
32.37	47	1 3 2
32.70	46	0 0 4
40.14	51	1 5 2
40.42	53	0 4 4
50.45	37	2 4 0

Structure:
a = 4.1006 Å, b = 15.4078 Å, c = 10.9530 Å
α = 90.00°, β = 90.00°, γ = 90.00°
Space group Cmcm (No. 63)
Symmetry-distinct sites (fractional):
Cs (0.0000, 0.2410, 0.2500) x4
Pr (0.0000, 0.5000, 0.0000) x4
Ni (0.0000, 0.0317, 0.7500) x4
S (0.0000, 0.1151, 0.5787) x8
S (0.0000, 0.4547, 0.7500) x4

=====

[2]
Rb2TaAlS6: computed powder diffraction line list (Cu Kα), based on a crystal structure in OQMD, relaxed with GGA-PBE.
Intensities are scaled so that the largest is 100.

Top 10 peaks for 10 to 80 degrees two-theta, sorted by position:
2θ/deg	intensity	hkl
15.83	70	1 0 1
18.29	20	0 1 2
25.93	75	1 0 4
26.04	75	1 1 0
30.55	35	0 1 5
37.08	100	0 2 4
45.89	50	3 0 0
53.33	33	2 0 8
53.55	33	2 2 0
73.14	17	4 1 0

Structure:
a = 6.8450 Å, b = 6.8450 Å, c = 16.8646 Å
α = 90.00°, β = 90.00°, γ = 120.00°
Space group R3m (No. 160, hexagonal axes)
Symmetry-distinct sites (fractional):
Rb (0.0000, 0.0000, 0.0000) x3
Rb (0.0000, 0.0000, 0.4992) x3
Ta (0.0000, 0.0000, 0.2420) x3
Al (0.0000, 0.0000, 0.7445) x3
S (0.0012, 0.5006, 0.0007) x9
S (0.0058, 0.5029, 0.4993) x9

=====

[3]
Ba2AlCo: computed powder diffraction line list (Cu Kα), based on a crystal structure in OQMD, relaxed with GGA-PBE.
Intensities are scaled so that the largest is 100.

Top 10 peaks for 10 to 80 degrees two-theta, sorted by position:
2θ/deg	intensity	hkl
20.34	29	1 1 1
23.53	1	2 0 0
33.52	100	2 2 0
39.52	16	3 1 1
48.13	18	4 0 0
52.77	7	3 3 1
59.92	36	4 2 2
63.97	5	5 1 1
70.44	11	4 4 0
74.19	5	5 3 1

Structure:
a = 7.5622 Å, b = 7.5622 Å, c = 7.5622 Å
α = 90.00°, β = 90.00°, γ = 90.00°
Space group F-43m (No. 216)
Symmetry-distinct sites (fractional):
Ba (0.0000, 0.0000, 0.0000) x4
Ba (0.2500, 0.2500, 0.2500) x4
Al (0.0000, 0.0000, 0.5000) x4
Co (0.2500, 0.2500, 0.7500) x4

=====

[4]
Cd2SiO4: computed powder diffraction line list (Cu Kα), based on a crystal structure in OQMD, relaxed with GGA-PBE.
Intensities are scaled so that the largest is 100.

Top 10 peaks for 10 to 80 degrees two-theta, sorted by position:
2θ/deg	intensity	hkl
18.43	29	0 2 0
30.60	46	0 0 1
32.38	100	1 3 0
32.90	30	2 0 0
34.23	19	2 1 0
36.12	53	1 1 1
45.15	71	1 3 1
46.57	36	2 1 1
49.53	25	2 2 1
60.00	20	1 5 1

Structure:
a = 5.4446 Å, b = 9.6276 Å, c = 2.9213 Å
α = 90.00°, β = 90.00°, γ = 90.00°
Space group Pbam (No. 55)
Symmetry-distinct sites (fractional):
Cd (0.0556, 0.1718, 0.0000) x4
Si (0.0000, 0.5000, 0.5000) x2
O (0.1164, 0.6709, 0.5000) x4
O (0.2089, 0.4582, 0.0000) x4

=====

[5]
MgZnCdS3: computed powder diffraction line list (Cu Kα), based on a crystal structure in OQMD, relaxed with GGA-PBE.
Intensities are scaled so that the largest is 100.

Top 10 peaks for 10 to 80 degrees two-theta, sorted by position:
2θ/deg	intensity	hkl
13.40	100	0 2 0
15.55	20	0 0 2
27.09	25	0 2 3
30.43	43	1 1 2
31.43	22	0 0 4
36.10	86	1 3 2
41.89	15	0 4 4
45.69	15	1 5 2
55.33	18	1 1 6
59.06	19	1 3 6

Structure:
a = 3.5512 Å, b = 13.2185 Å, c = 11.3861 Å
α = 90.00°, β = 90.00°, γ = 90.00°
Space group Cmcm (No. 63)
Symmetry-distinct sites (fractional):
Mg (0.0000, 0.1975, 0.2500) x4
Zn (0.0000, 0.0000, 0.0000) x4
Cd (0.0000, 0.4664, 0.2500) x4
S (0.0000, 0.1686, 0.7500) x4
S (0.0000, 0.3979, 0.5901) x8

=====

[6]
Li2TaB6: computed powder diffraction line list (Cu Kα), based on a crystal structure in OQMD, relaxed with GGA-PBE.
Intensities are scaled so that the largest is 100.

Top 10 peaks for 10 to 80 degrees two-theta, sorted by position:
2θ/deg	intensity	hkl
12.68	24	1 1 0
15.91	55	0 2 0
18.76	66	1 2 0
21.38	100	2 1 0
25.71	24	0 0 1
25.98	28	1 3 0
32.02	32	1 2 1
33.68	83	2 1 1
42.87	33	1 4 1
47.04	30	3 3 1

Structure:
a = 8.9586 Å, b = 11.1391 Å, c = 3.4655 Å
α = 90.00°, β = 90.00°, γ = 90.00°
Space group Pbam (No. 55)
Symmetry-distinct sites (fractional):
Li (0.0523, 0.1239, 0.0000) x4
Li (0.1796, 0.4127, 0.0000) x4
Ta (0.1463, 0.6815, 0.0000) x4
B (0.0244, 0.2876, 0.5000) x4
B (0.0507, 0.5623, 0.5000) x4
B (0.0982, 0.9736, 0.5000) x4
B (0.1262, 0.8239, 0.5000) x4
B (0.1988, 0.2405, 0.5000) x4
B (0.2371, 0.0761, 0.5000) x4

=====

[7]
Pr3Si2Ni4Ge2: computed powder diffraction line list (Cu Kα), based on a crystal structure in OQMD, relaxed with GGA-PBE.
Intensities are scaled so that the largest is 100.

Top 10 peaks for 10 to 80 degrees two-theta, sorted by position:
2θ/deg	intensity	hkl
24.16	12	0 1 3
31.43	12	1 1 2
34.11	100	1 1 4
40.40	22	0 1 9
43.53	18	0 2 0
43.82	18	2 0 0
56.45	14	1 2 7
61.12	13	2 1 9
63.48	11	2 2 0
71.01	11	1 1 16

Structure:
a = 4.1317 Å, b = 4.1579 Å, c = 23.8205 Å
α = 90.00°, β = 90.00°, γ = 90.00°
Space group Immm (No. 71)
Symmetry-distinct sites (fractional):
Pr (0.0000, 0.0000, 0.0000) x2
Pr (0.0000, 0.5000, 0.1516) x4
Si (0.0000, 0.5000, 0.2982) x4
Ni (0.0000, 0.0000, 0.2488) x4
Ni (0.0000, 0.5000, 0.3966) x4
Ge (0.0000, 0.0000, 0.4462) x4